Entry 1:
Diffraction record for NiSb6Au2. The X-ray diffraction stick pattern is calculated, not measured: it uses a DFT-relaxed cell (GGA-PBE, Alexandria) and a wavelength of 1.5418 Å.
Lines closer than 0.1° are merged.

```
NiSb6Au2
1.0
6.892 0.000 0.000
-3.446 5.969 0.000
0.000 0.000 5.573
Ni Sb Au
1 6 2
Direct
0.000 0.000 0.000
0.000 0.348 0.805
0.000 0.652 0.195
0.348 0.000 0.805
0.348 0.348 0.195
0.652 0.000 0.195
0.652 0.652 0.805
0.333 0.667 0.500
0.667 0.333 0.500
```

Largest 12 diffraction maxima, in order of rising 2θ, 10° ≤ 2θ ≤ 90°:
- 2θ 14.84, I = 14
- 2θ 21.82, I = 26
- 2θ 30.50, I = 100
- 2θ 34.08, I = 12
- 2θ 41.68, I = 55
- 2θ 43.26, I = 11
- 2θ 45.59, I = 41
- 2θ 55.85, I = 17
- 2θ 63.48, I = 15
- 2θ 69.19, I = 16
- 2θ 74.86, I = 14
- 2θ 81.59, I = 15



Entry 2:
Diffraction record for AcMg11Au. The X-ray diffraction stick pattern is calculated, not measured: it uses a DFT-relaxed cell (GGA-PBE, Alexandria) and a wavelength of 1.5418 Å.
Lines closer than 0.1° are merged.

```
AcMg11Au
1.0
2.887 -7.315 0.000
2.887 7.315 0.000
-2.679 0.000 7.299
Ac Mg Au
1 11 1
Direct
0.000 0.000 0.000
0.000 0.000 0.500
0.000 0.500 0.000
0.009 0.357 0.360
0.293 0.505 0.776
0.357 0.009 0.360
0.495 0.707 0.224
0.500 0.000 0.000
0.505 0.293 0.776
0.643 0.991 0.640
0.707 0.495 0.224
0.991 0.643 0.640
0.500 0.500 0.500
```

Largest 12 diffraction maxima, in order of rising 2θ, 10° ≤ 2θ ≤ 90°:
- 2θ 12.10, I = 100
- 2θ 17.75, I = 87
- 2θ 24.36, I = 96
- 2θ 24.78, I = 46
- 2θ 27.31, I = 38
- 2θ 29.94, I = 45
- 2θ 34.73, I = 48
- 2θ 35.00, I = 33
- 2θ 35.35, I = 72
- 2θ 35.95, I = 36
- 2θ 49.89, I = 22
- 2θ 62.20, I = 17



Entry 3:
Diffraction record for Er7SiS5. The X-ray diffraction stick pattern is calculated, not measured: it uses a DFT-relaxed cell (GGA-PBE, Alexandria) and a wavelength of 1.5418 Å.
Lines closer than 0.1° are merged.

```
Er7SiS5
1.0
1.945 -6.316 0.000
1.945 6.316 0.000
0.000 0.000 22.889
Er Si S
14 2 10
Direct
0.032 0.968 0.750
0.138 0.862 0.037
0.138 0.862 0.463
0.312 0.688 0.679
0.312 0.688 0.821
0.407 0.593 0.115
0.407 0.593 0.385
0.593 0.407 0.615
0.593 0.407 0.885
0.688 0.312 0.179
0.688 0.312 0.321
0.862 0.138 0.537
0.862 0.138 0.963
0.968 0.032 0.250
0.305 0.695 0.250
0.695 0.305 0.750
0.048 0.952 0.142
0.048 0.952 0.358
0.225 0.775 0.571
0.225 0.775 0.929
0.500 0.500 0.000
0.500 0.500 0.500
0.775 0.225 0.071
0.775 0.225 0.429
0.952 0.048 0.642
0.952 0.048 0.858
```

Largest 12 diffraction maxima, in order of rising 2θ, 10° ≤ 2θ ≤ 90°:
- 2θ 26.67, I = 36
- 2θ 28.53, I = 36
- 2θ 28.63, I = 64
- 2θ 30.79, I = 100
- 2θ 32.30, I = 91
- 2θ 33.49, I = 54
- 2θ 34.41, I = 31
- 2θ 46.60, I = 25
- 2θ 46.70, I = 33
- 2θ 47.27, I = 28
- 2θ 56.32, I = 32
- 2θ 56.99, I = 35